The following is a simulated powder X-ray diffraction pattern of Ba2NiN6O12. It was derived from the PBE+U geometry in Alexandria, using a wavelength of 1.5418 Å.
Kinematic intensities with the Lorentz-polarization factor, no thermal factor.

Peak list (6 most intense, 10 to 90 degrees two-theta, by angle)
Position (°2θ), I/Imax
14.77, 80
17.07, 38
24.24, 100
34.54, 41
38.77, 48
42.64, 72

Crystal structure
```
21
Lattice="0.000 5.193 5.193 5.193 0.000 5.193 5.193 5.193 0.000" Properties=species:S:1:pos:R:3 pbc="T T T"
Ba 2.597 2.597 2.597
Ba 7.790 7.790 7.790
Ni 0.000 0.000 0.000
N 5.193 5.193 1.911
N 5.193 1.911 5.193
N 8.476 5.193 5.193
N 1.911 5.193 5.193
N 5.193 8.476 5.193
N 5.193 5.193 8.476
O 1.721 1.721 0.000
O 3.472 3.472 0.000
O 1.721 0.000 1.721
O 5.193 3.472 1.721
O 3.472 0.000 3.472
O 5.193 1.721 3.472
O 0.000 1.721 1.721
O 3.472 5.193 1.721
O 3.472 1.721 5.193
O 0.000 3.472 3.472
O 1.721 5.193 3.472
O 1.721 3.472 5.193
```